Record 1
Diffraction record for PmTm5Tl8. The PXRD pattern is simulated, not measured: it uses the PBE geometry in Alexandria and λ = 1.5418 Å (Cu Kα).

Atomic structure:
a = 9.1287 Å, b = 9.1287 Å, c = 9.4752 Å
α = 90.00°, β = 90.00°, γ = 90.00°
Space group I-4 (No. 82)
One atom of each set of equivalent atoms:
Pm 0.0000 0.0000 0.0000 [2 per cell]
Tm 0.0000 0.5000 0.7500 [2 per cell]
Tm 0.1327 0.2774 0.3518 [8 per cell]
Tl 0.0714 0.1621 0.6811 [8 per cell]
Tl 0.0992 0.3354 0.0301 [8 per cell]

Largest 10 diffraction maxima, by angle, 10° ≤ 2θ ≤ 90°:
- 2θ 23.7, I 23
- 2θ 29.9, I 91
- 2θ 30.9, I 100
- 2θ 31.0, I 76
- 2θ 36.0, I 92
- 2θ 36.4, I 80
- 2θ 36.7, I 82
- 2θ 47.6, I 27
- 2θ 48.6, I 27
- 2θ 62.2, I 25

---

Record 2
Diffraction record for Pm5TmTl2. The PXRD pattern is simulated, not measured: it uses the PBE geometry in Alexandria and λ = 1.5418 Å (Cu Kα).

Atomic structure:
a = 5.5204 Å, b = 5.5204 Å, c = 20.3452 Å
α = 90.00°, β = 90.00°, γ = 120.00°
Space group P6_3/mmc (No. 194)
One atom of each set of equivalent atoms:
Pm 0.0000 0.0000 0.1621 [4 per cell]
Pm 0.3333 0.6667 0.0602 [4 per cell]
Pm 0.3333 0.6667 0.2500 [2 per cell]
Tm 0.3333 0.6667 0.7500 [2 per cell]
Tl 0.3333 0.6667 0.5980 [4 per cell]

Largest 10 diffraction maxima, by angle, 10° ≤ 2θ ≤ 90°:
- 2θ 18.6, I 6
- 2θ 26.3, I 6
- 2θ 32.4, I 100
- 2θ 36.2, I 12
- 2θ 42.2, I 11
- 2θ 46.5, I 14
- 2θ 57.8, I 27
- 2θ 60.3, I 5
- 2θ 67.9, I 7
- 2θ 77.3, I 6

---

Record 3
Diffraction record for Pm3Tm8Tl. The PXRD pattern is simulated, not measured: it uses the PBE geometry in Alexandria and λ = 1.5418 Å (Cu Kα).

Atomic structure:
a = 10.5914 Å, b = 11.1559 Å, c = 6.1950 Å
α = 90.00°, β = 90.00°, γ = 90.00°
Space group Imm2 (No. 44)
One atom of each set of equivalent atoms:
Pm 0.0000 0.0000 0.0000 [2 per cell]
Pm 0.0000 0.2495 0.3256 [4 per cell]
Tm 0.1627 0.2580 0.8381 [8 per cell]
Tm 0.1653 0.5000 0.4930 [4 per cell]
Tm 0.1699 0.0000 0.5165 [4 per cell]
Tl 0.0000 0.5000 0.9968 [2 per cell]

Largest 10 diffraction maxima, by angle, 10° ≤ 2θ ≤ 90°:
- 2θ 29.1, I 24
- 2θ 32.1, I 37
- 2θ 33.1, I 52
- 2θ 33.3, I 100
- 2θ 43.9, I 16
- 2θ 51.3, I 20
- 2θ 58.0, I 20
- 2θ 61.8, I 22
- 2θ 62.2, I 19
- 2θ 62.8, I 16

---

Record 4
Diffraction record for Pm3TmTl3. The PXRD pattern is simulated, not measured: it uses the PBE geometry in Alexandria and λ = 1.5418 Å (Cu Kα).

Atomic structure:
a = 9.4790 Å, b = 9.4790 Å, c = 9.4790 Å
α = 90.00°, β = 90.00°, γ = 90.00°
Space group P2_13 (No. 198)
One atom of each set of equivalent atoms:
Pm 0.0683 0.4317 0.5683 [4 per cell]
Pm 0.1730 0.8270 0.3270 [4 per cell]
Pm 0.1766 0.1766 0.1766 [4 per cell]
Tm 0.0757 0.5757 0.9243 [4 per cell]
Tl 0.0024 0.2567 0.8683 [12 per cell]

Largest 10 diffraction maxima, by angle, 10° ≤ 2θ ≤ 90°:
- 2θ 29.8, I 100
- 2θ 35.4, I 68
- 2θ 42.7, I 18
- 2θ 44.8, I 13
- 2θ 47.0, I 14
- 2θ 49.0, I 19
- 2θ 60.2, I 29
- 2θ 61.9, I 11
- 2θ 63.6, I 15
- 2θ 73.4, I 18

---

Record 5
Diffraction record for Pm5Y4Tl. The PXRD pattern is simulated, not measured: it uses the PBE geometry in Alexandria and λ = 1.5418 Å (Cu Kα).

Atomic structure:
a = 4.1846 Å, b = 4.1846 Å, c = 18.5541 Å
α = 90.00°, β = 90.00°, γ = 90.00°
Space group P4/mmm (No. 123)
One atom of each set of equivalent atoms:
Pm 0.0000 0.0000 0.0000 [1 per cell]
Pm 0.0000 0.0000 0.2053 [2 per cell]
Pm 0.0000 0.0000 0.4107 [2 per cell]
Y 0.5000 0.5000 0.1029 [2 per cell]
Y 0.5000 0.5000 0.3064 [2 per cell]
Tl 0.5000 0.5000 0.5000 [1 per cell]

Largest 10 diffraction maxima, by angle, 10° ≤ 2θ ≤ 90°:
- 2θ 30.2, I 62
- 2θ 32.2, I 100
- 2θ 43.2, I 23
- 2θ 55.0, I 44
- 2θ 58.7, I 16
- 2θ 62.8, I 8
- 2θ 67.5, I 10
- 2θ 71.3, I 10
- 2θ 72.4, I 10
- 2θ 88.2, I 12

---

Record 6
Diffraction record for Pm2Y2Tl3. The PXRD pattern is simulated, not measured: it uses the PBE geometry in Alexandria and λ = 1.5418 Å (Cu Kα).

Atomic structure:
a = 3.5761 Å, b = 32.4893 Å, c = 3.5758 Å
α = 90.00°, β = 90.00°, γ = 90.00°
Space group Cmmm (No. 65)
One atom of each set of equivalent atoms:
Pm 0.0000 0.0691 0.0000 [4 per cell]
Y 0.0000 0.2021 0.0000 [4 per cell]
Tl 0.0000 0.3618 0.5000 [4 per cell]
Tl 0.0000 0.5000 0.5000 [2 per cell]

Largest 10 diffraction maxima, by angle, 10° ≤ 2θ ≤ 90°:
- 2θ 29.9, I 38
- 2θ 31.6, I 100
- 2θ 33.4, I 69
- 2θ 35.6, I 81
- 2θ 38.8, I 24
- 2θ 51.1, I 28
- 2θ 55.9, I 39
- 2θ 61.3, I 30
- 2θ 62.4, I 23
- 2θ 66.0, I 20

---

Record 7
Diffraction record for Pm15Y4Tl. The PXRD pattern is simulated, not measured: it uses the PBE geometry in Alexandria and λ = 1.5418 Å (Cu Kα).

Atomic structure:
a = 5.0842 Å, b = 5.0842 Å, c = 25.7250 Å
α = 90.00°, β = 90.00°, γ = 90.00°
Space group P4/mmm (No. 123)
One atom of each set of equivalent atoms:
Pm 0.0000 0.0000 0.0000 [1 per cell]
Pm 0.0000 0.0000 0.1972 [2 per cell]
Pm 0.0000 0.0000 0.3990 [2 per cell]
Pm 0.0000 0.5000 0.0970 [4 per cell]
Pm 0.0000 0.5000 0.2987 [4 per cell]
Pm 0.0000 0.5000 0.5000 [2 per cell]
Y 0.5000 0.5000 0.1982 [2 per cell]
Y 0.5000 0.5000 0.3996 [2 per cell]
Tl 0.5000 0.5000 0.0000 [1 per cell]

Largest 10 diffraction maxima, by angle, 10° ≤ 2θ ≤ 90°:
- 2θ 30.3, I 100
- 2θ 34.9, I 17
- 2θ 35.3, I 33
- 2θ 50.5, I 24
- 2θ 50.8, I 12
- 2θ 59.7, I 14
- 2θ 60.3, I 28
- 2θ 63.1, I 12
- 2θ 82.2, I 11
- 2θ 82.7, I 6

---

Record 8
Diffraction record for Pm5Y4Tl2. The PXRD pattern is simulated, not measured: it uses the PBE geometry in Alexandria and λ = 1.5418 Å (Cu Kα).

Atomic structure:
a = 5.2978 Å, b = 5.2978 Å, c = 47.3154 Å
α = 90.00°, β = 90.00°, γ = 120.00°
Space group R-3m (No. 166, hexagonal axes)
One atom of each set of equivalent atoms:
Pm 0.0000 0.0000 0.0000 [3 per cell]
Pm 0.0000 0.0000 0.1484 [6 per cell]
Pm 0.0000 0.0000 0.3018 [6 per cell]
Y 0.0000 0.0000 0.0733 [6 per cell]
Y 0.0000 0.0000 0.2258 [6 per cell]
Tl 0.0000 0.0000 0.3890 [6 per cell]

Largest 10 diffraction maxima, by angle, 10° ≤ 2θ ≤ 90°:
- 2θ 20.8, I 12
- 2θ 27.1, I 14
- 2θ 31.4, I 100
- 2θ 33.8, I 95
- 2θ 46.8, I 33
- 2θ 54.2, I 13
- 2θ 59.0, I 33
- 2θ 60.5, I 20
- 2θ 71.2, I 14
- 2θ 79.8, I 14

---

Record 9
Diffraction record for Pm8Y2Tl. The PXRD pattern is simulated, not measured: it uses the PBE geometry in Alexandria and λ = 1.5418 Å (Cu Kα).

Atomic structure:
a = 18.3639 Å, b = 5.0458 Å, c = 8.0855 Å
α = 90.00°, β = 105.59°, γ = 90.00°
Space group C2/m (No. 12)
One atom of each set of equivalent atoms:
Pm 0.0447 0.0000 0.2252 [4 per cell]
Pm 0.0897 0.5000 0.9421 [4 per cell]
Pm 0.1360 0.0000 0.6780 [4 per cell]
Pm 0.1794 0.5000 0.4084 [4 per cell]
Y 0.2241 0.0000 0.1341 [4 per cell]
Tl 0.0000 0.5000 0.5000 [2 per cell]

Largest 10 diffraction maxima, by angle, 10° ≤ 2θ ≤ 90°:
- 2θ 30.5, I 100
- 2θ 35.1, I 17
- 2θ 35.3, I 17
- 2θ 35.6, I 17
- 2θ 50.6, I 12
- 2θ 50.8, I 12
- 2θ 51.0, I 12
- 2θ 60.1, I 14
- 2θ 60.4, I 7
- 2θ 60.8, I 14

---

Record 10
Diffraction record for PmY4Tl. The PXRD pattern is simulated, not measured: it uses the PBE geometry in Alexandria and λ = 1.5418 Å (Cu Kα).

Atomic structure:
a = 5.6426 Å, b = 21.1720 Å, c = 6.5622 Å
α = 90.00°, β = 90.00°, γ = 90.00°
Space group Cmc2_1 (No. 36)
One atom of each set of equivalent atoms:
Pm 0.0000 0.1361 0.0000 [4 per cell]
Y 0.0000 0.0618 0.5055 [4 per cell]
Y 0.0000 0.2544 0.6227 [4 per cell]
Y 0.0000 0.3165 0.1416 [4 per cell]
Y 0.0000 0.4598 0.3291 [4 per cell]
Tl 0.0000 0.3986 0.7606 [4 per cell]

Largest 10 diffraction maxima, by angle, 10° ≤ 2θ ≤ 90°:
- 2θ 16.7, I 22
- 2θ 21.2, I 22
- 2θ 28.7, I 35
- 2θ 29.7, I 94
- 2θ 31.7, I 80
- 2θ 31.8, I 100
- 2θ 36.4, I 70
- 2θ 38.2, I 30
- 2θ 43.3, I 23
- 2θ 59.6, I 28

---

Record 11
Diffraction record for Pm3YTl. The PXRD pattern is simulated, not measured: it uses the PBE geometry in Alexandria and λ = 1.5418 Å (Cu Kα).

Atomic structure:
a = 12.3097 Å, b = 5.5949 Å, c = 9.9086 Å
α = 90.00°, β = 109.44°, γ = 90.00°
Space group C2/m (No. 12)
One atom of each set of equivalent atoms:
Pm 0.1372 0.0000 0.1018 [4 per cell]
Pm 0.1543 0.5000 0.5316 [4 per cell]
Pm 0.2144 0.0000 0.7807 [4 per cell]
Y 0.0466 0.5000 0.8511 [4 per cell]
Tl 0.0558 0.0000 0.3770 [4 per cell]

Largest 10 diffraction maxima, by angle, 10° ≤ 2θ ≤ 90°:
- 2θ 17.6, I 17
- 2θ 27.6, I 18
- 2θ 30.4, I 35
- 2θ 31.5, I 71
- 2θ 32.0, I 54
- 2θ 32.1, I 100
- 2θ 40.5, I 14
- 2θ 44.7, I 24
- 2θ 56.7, I 13
- 2θ 57.1, I 22

---

Record 12
Diffraction record for Pm3Y2Tl3. The PXRD pattern is simulated, not measured: it uses the PBE geometry in Alexandria and λ = 1.5418 Å (Cu Kα).

Atomic structure:
a = 4.4464 Å, b = 5.0690 Å, c = 21.1584 Å
α = 90.00°, β = 90.00°, γ = 90.00°
Space group Immm (No. 71)
One atom of each set of equivalent atoms:
Pm 0.0000 0.0000 0.0000 [2 per cell]
Pm 0.0000 0.5000 0.1189 [4 per cell]
Y 0.0000 0.0000 0.2369 [4 per cell]
Tl 0.0000 0.0000 0.5000 [2 per cell]
Tl 0.0000 0.5000 0.3704 [4 per cell]

Largest 10 diffraction maxima, by angle, 10° ≤ 2θ ≤ 90°:
- 2θ 31.7, I 100
- 2θ 33.9, I 19
- 2θ 35.4, I 19
- 2θ 40.6, I 13
- 2θ 49.8, I 13
- 2θ 54.9, I 11
- 2θ 59.3, I 14
- 2θ 61.2, I 15
- 2θ 66.1, I 11
- 2θ 68.3, I 11